Entry 1:
Structure and calculated powder X-ray diffraction pattern of Y2BeO4 (the GGA-PBE geometry in Alexandria; Cu Kα (λ = 1.5418 Å)).
Neutral-atom scattering factors, no anomalous dispersion.

```
Y2BeO4
1.0
10.478 0.000 0.000
0.000 3.564 0.000
0.000 0.000 10.009
Y Be O
8 4 16
direct
0.090 0.250 0.179 Y
0.117 0.250 0.588 Y
0.383 0.750 0.088 Y
0.410 0.750 0.679 Y
0.590 0.250 0.321 Y
0.617 0.250 0.912 Y
0.883 0.750 0.412 Y
0.910 0.750 0.821 Y
0.193 0.250 0.874 Be
0.307 0.750 0.374 Be
0.693 0.250 0.626 Be
0.807 0.750 0.126 Be
0.014 0.250 0.386 O
0.046 0.250 0.849 O
0.222 0.750 0.246 O
0.248 0.250 0.017 O
0.252 0.750 0.517 O
0.278 0.250 0.746 O
0.454 0.750 0.349 O
0.486 0.750 0.886 O
0.514 0.250 0.114 O
0.546 0.250 0.651 O
0.722 0.750 0.254 O
0.748 0.250 0.483 O
0.752 0.750 0.983 O
0.778 0.250 0.754 O
0.954 0.750 0.151 O
0.986 0.750 0.614 O
```

The 12 most intense peaks (2θ = 5–70°), most intense first:
2θ/deg, d (Å), I_rel
30.3, 2.947, 100
19.7, 4.516, 63
51.2, 1.783, 41
31.2, 2.864, 38
32.0, 2.798, 37
31.8, 2.814, 36
54.0, 1.699, 28
28.1, 3.179, 21
45.4, 1.998, 20
12.2, 7.237, 17
46.2, 1.966, 17
40.4, 2.233, 16

Entry 2:
Structure and calculated powder X-ray diffraction pattern of BeOs3 (the GGA-PBE geometry in Alexandria; Cu Kα (λ = 1.5418 Å)).
Neutral-atom scattering factors, no anomalous dispersion.

```
BeOs3
1.0
2.671 -4.723 0.000
2.671 4.723 0.000
0.000 0.000 4.235
Be Os
2 6
direct
0.079 0.921 0.750 Be
0.921 0.079 0.250 Be
0.072 0.395 0.750 Os
0.395 0.072 0.250 Os
0.420 0.580 0.250 Os
0.580 0.420 0.750 Os
0.605 0.928 0.750 Os
0.928 0.605 0.250 Os
```

The 12 most intense peaks (2θ = 5–70°), most intense first:
2θ/deg, d (Å), I_rel
44.5, 2.038, 100
43.9, 2.063, 48
42.7, 2.117, 37
19.1, 4.650, 34
38.7, 2.325, 22
28.3, 3.153, 20
39.5, 2.284, 20
28.5, 3.131, 20
69.3, 1.356, 19
38.1, 2.362, 15
59.0, 1.565, 13
58.6, 1.576, 10

Entry 3:
Structure and calculated powder X-ray diffraction pattern of BeOs3 (the GGA-PBE geometry in Alexandria; Cu Kα (λ = 1.5418 Å)).
Neutral-atom scattering factors, no anomalous dispersion.

```
BeOs3
1.0
2.785 0.000 0.000
0.000 2.785 0.000
0.000 0.000 6.533
Be Os
1 3
direct
0.000 0.000 0.000 Be
0.000 0.000 0.500 Os
0.500 0.500 0.215 Os
0.500 0.500 0.785 Os
```

The 12 most intense peaks (2θ = 5–70°), most intense first:
2θ/deg, d (Å), I_rel
42.7, 2.119, 100
46.1, 1.969, 46
35.0, 2.562, 42
63.7, 1.461, 19
41.5, 2.178, 16
67.2, 1.392, 15
13.6, 6.533, 14
32.1, 2.785, 12
56.3, 1.633, 7
27.3, 3.266, 6
54.4, 1.686, 4
48.3, 1.885, 2

Entry 4:
Structure and calculated powder X-ray diffraction pattern of Be3Os (the GGA-PBE geometry in Alexandria; Cu Kα (λ = 1.5418 Å)).
Neutral-atom scattering factors, no anomalous dispersion.

```
Be3Os
1.0
3.757 0.000 0.000
0.000 4.532 0.000
0.000 0.000 4.407
Be Os
6 2
direct
0.250 0.005 0.142 Be
0.250 0.495 0.142 Be
0.250 0.750 0.703 Be
0.750 0.250 0.297 Be
0.750 0.505 0.858 Be
0.750 0.995 0.858 Be
0.250 0.250 0.623 Os
0.750 0.750 0.377 Os
```

The 12 most intense peaks (2θ = 5–70°), most intense first:
2θ/deg, d (Å), I_rel
30.9, 2.892, 100
20.2, 4.407, 70
37.2, 2.418, 65
28.2, 3.159, 59
31.3, 2.859, 48
47.9, 1.901, 37
45.8, 1.982, 36
51.5, 1.776, 31
39.8, 2.266, 26
63.9, 1.456, 25
45.0, 2.015, 23
68.9, 1.363, 21

Entry 5:
Structure and calculated powder X-ray diffraction pattern of Be4Os (the GGA-PBE geometry in Alexandria; Cu Kα (λ = 1.5418 Å)).
Neutral-atom scattering factors, no anomalous dispersion.

```
Be4Os
1.0
1.835 -5.493 0.000
1.835 5.493 0.000
0.000 0.000 4.603
Be Os
8 2
direct
0.000 0.000 0.000 Be
0.000 0.000 0.500 Be
0.203 0.797 0.504 Be
0.203 0.797 0.996 Be
0.383 0.617 0.750 Be
0.617 0.383 0.250 Be
0.797 0.203 0.004 Be
0.797 0.203 0.496 Be
0.402 0.598 0.250 Os
0.598 0.402 0.750 Os
```

The 12 most intense peaks (2θ = 5–70°), most intense first:
2θ/deg, d (Å), I_rel
25.2, 3.528, 100
25.6, 3.480, 72
39.9, 2.258, 65
32.2, 2.776, 40
47.4, 1.920, 36
48.3, 1.885, 27
56.5, 1.628, 23
32.6, 2.746, 18
39.1, 2.302, 17
63.8, 1.458, 16
16.1, 5.493, 16
38.2, 2.358, 16